[1]
Simulated X-ray powder pattern
Compound: Sr2CaIn3Pd4
Radiation: copper Kα
Structure: a structure optimized by DFT (GGA-PBE)
Peak positions follow from Bragg's law for the DFT cell and can differ from measured ones.

Principal peaks in the range 2θ from 10° to 80°, sorted by position:
2θ (°), I_rel, h k l
20.5, 25.4, 1 0 1
30.3, 60.5, 1 0 3
31.2, 100.0, 1 1 2
38.4, 84.3, 2 0 0
41.9, 56.0, 1 1 4
44.3, 26.1, 1 0 5
49.7, 29.8, 2 1 3
55.4, 28.2, 2 2 0
65.0, 23.1, 3 1 2
71.8, 21.4, 3 1 4

```
data_Sr2CaIn3Pd4
_chemical_formula_sum 'Sr2 Ca1 In3 Pd4'
_space_group_name_H-M_alt 'P -4 m 2'
_space_group_IT_number 115
_space_group_name_Hall 'P -4 -2'
_cell_length_a 4.6876
_cell_length_b 4.6876
_cell_length_c 11.3681
_cell_angle_alpha 90.00
_cell_angle_beta 90.00
_cell_angle_gamma 90.00
loop_
_atom_site_label
_atom_site_fract_x
_atom_site_fract_y
_atom_site_fract_z
_atom_site_occupancy
Sr1 0.0000 0.5000 0.2260 1
Ca1 0.0000 0.0000 0.5000 1
In1 0.0000 0.5000 0.8801 1
In2 0.5000 0.5000 0.5000 1
Pd1 0.0000 0.0000 0.0000 1
Pd2 0.0000 0.5000 0.6441 1
Pd3 0.5000 0.5000 0.0000 1
```

***

[2]
Simulated X-ray powder pattern
Compound: Ca2ZnInPd6
Radiation: copper Kα
Structure: a structure optimized by DFT (GGA-PBE)
Peak positions follow from Bragg's law for the DFT cell and can differ from measured ones.

Principal peaks in the range 2θ from 10° to 80°, sorted by position:
2θ (°), I_rel, h k l
18.3, 72.5, 2 0 0
32.0, 70.1, 2 2 2
37.1, 100.0, 4 0 0
41.7, 34.6, 4 2 0
53.5, 67.0, 4 4 0
57.0, 17.0, 6 0 0
63.7, 26.6, 6 2 2
66.9, 22.0, 4 4 4
70.0, 7.7, 6 4 0
79.1, 10.0, 8 0 0

```
data_Ca2ZnInPd6
_chemical_formula_sum 'Ca8 Zn4 In4 Pd24'
_space_group_name_H-M_alt 'F m -3 m'
_space_group_IT_number 225
_space_group_name_Hall '-F 4 2 3'
_cell_length_a 9.6906
_cell_length_b 9.6906
_cell_length_c 9.6906
_cell_angle_alpha 90.00
_cell_angle_beta 90.00
_cell_angle_gamma 90.00
loop_
_atom_site_label
_atom_site_fract_x
_atom_site_fract_y
_atom_site_fract_z
_atom_site_occupancy
Ca1 0.2500 0.2500 0.2500 1
Zn1 0.0000 0.0000 0.0000 1
In1 0.0000 0.0000 0.5000 1
Pd1 0.0000 0.0000 0.2416 1
```

***

[3]
Simulated X-ray powder pattern
Compound: CaPmIn
Radiation: copper Kα
Structure: a structure optimized by DFT (GGA-PBE)
Peak positions follow from Bragg's law for the DFT cell and can differ from measured ones.

Principal peaks in the range 2θ from 10° to 80°, sorted by position:
2θ (°), I_rel, h k l
18.6, 32.5, 1 0 0
25.6, 31.8, 0 0 2
31.9, 68.4, 1 0 2
32.5, 100.0, 1 1 0
41.8, 52.4, 1 1 2
46.2, 23.8, 2 0 2
57.6, 24.0, 2 1 2
58.0, 18.4, 3 0 0
63.3, 28.0, 1 1 4
64.4, 14.6, 3 0 2

```
data_CaPmIn
_chemical_formula_sum 'Ca2 Pm2 In2'
_space_group_name_H-M_alt 'P 63/m m c'
_space_group_IT_number 194
_space_group_name_Hall '-P 6c 2c'
_cell_length_a 5.5100
_cell_length_b 5.5100
_cell_length_c 6.9486
_cell_angle_alpha 90.00
_cell_angle_beta 90.00
_cell_angle_gamma 120.00
loop_
_atom_site_label
_atom_site_fract_x
_atom_site_fract_y
_atom_site_fract_z
_atom_site_occupancy
Ca1 0.0000 0.0000 0.0000 1
Pm1 0.3333 0.6667 0.2500 1
In1 0.3333 0.6667 0.7500 1
```

***

[4]
Simulated X-ray powder pattern
Compound: CaPmIn6
Radiation: copper Kα
Structure: a structure optimized by DFT (GGA-PBE)
Peak positions follow from Bragg's law for the DFT cell and can differ from measured ones.

Principal peaks in the range 2θ from 10° to 80°, sorted by position:
2θ (°), I_rel, h k l
15.2, 6.5, 0 1 1
30.6, 25.0, 0 2 2
33.9, 24.6, 2 0 0
35.1, 100.0, 1 0 4
46.3, 15.6, 2 2 2
54.3, 18.0, 0 2 6
61.4, 18.8, 3 0 4
65.6, 19.8, 2 2 6
66.3, 14.2, 1 4 4
74.1, 3.6, 2 0 8

```
data_CaPmIn6
_chemical_formula_sum 'Ca2 Pm2 In12'
_space_group_name_H-M_alt 'A m m 2'
_space_group_IT_number 38
_space_group_name_Hall 'A 2 -2'
_cell_length_a 5.2920
_cell_length_b 6.7531
_cell_length_c 11.6933
_cell_angle_alpha 90.00
_cell_angle_beta 90.00
_cell_angle_gamma 90.00
loop_
_atom_site_label
_atom_site_fract_x
_atom_site_fract_y
_atom_site_fract_z
_atom_site_occupancy
Ca1 0.0000 0.0000 0.0000 1
Pm1 0.5000 0.0000 0.6671 1
In1 0.0000 0.0000 0.4916 1
In2 0.0000 0.2361 0.2548 1
In3 0.5000 0.0000 0.1713 1
In4 0.5000 0.2426 0.4145 1
```

***

[5]
Simulated X-ray powder pattern
Compound: CaPm3In3
Radiation: copper Kα
Structure: a structure optimized by DFT (GGA-PBE)
Peak positions follow from Bragg's law for the DFT cell and can differ from measured ones.

Principal peaks in the range 2θ from 10° to 80°, sorted by position:
2θ (°), I_rel, h k l
16.3, 9.8, 0 2 0
32.9, 25.3, 0 4 0
33.2, 26.0, 4 0 0
33.6, 100.0, 2 2 2
47.4, 17.3, 4 4 0
49.1, 9.4, 0 0 4
59.2, 16.0, 2 6 2
59.5, 17.6, 6 2 2
70.7, 10.0, 4 4 4
79.2, 9.8, 8 4 0

```
data_CaPm3In3
_chemical_formula_sum 'Ca4 Pm12 In12'
_space_group_name_H-M_alt 'C m m m'
_space_group_IT_number 65
_space_group_name_Hall '-C 2 2'
_cell_length_a 10.8053
_cell_length_b 10.8979
_cell_length_c 7.4163
_cell_angle_alpha 90.00
_cell_angle_beta 90.00
_cell_angle_gamma 90.00
loop_
_atom_site_label
_atom_site_fract_x
_atom_site_fract_y
_atom_site_fract_z
_atom_site_occupancy
Ca1 0.2197 0.0000 0.0000 1
Pm1 0.0000 0.2290 0.5000 1
Pm2 0.0000 0.2684 0.0000 1
Pm3 0.2420 0.0000 0.5000 1
In1 0.0000 0.5000 0.2684 1
In2 0.2500 0.2500 0.2488 1
```

***

[6]
Simulated X-ray powder pattern
Compound: Ca5PrIn6
Radiation: copper Kα
Structure: a structure optimized by DFT (GGA-PBE)
Peak positions follow from Bragg's law for the DFT cell and can differ from measured ones.

Principal peaks in the range 2θ from 10° to 80°, sorted by position:
2θ (°), I_rel, h k l
23.1, 12.8, 1 0 3
32.7, 100.0, 1 2 3
32.9, 49.6, 2 0 0
46.8, 8.8, 0 4 0
47.2, 17.5, 2 0 6
58.4, 17.7, 2 4 0
58.6, 35.4, 3 2 3
68.6, 10.7, 2 4 6
77.8, 7.3, 1 6 3
78.4, 11.0, 2 0 12

```
data_Ca5PrIn6
_chemical_formula_sum 'Ca10 Pr2 In12'
_space_group_name_H-M_alt 'I m m m'
_space_group_IT_number 71
_space_group_name_Hall '-I 2 2'
_cell_length_a 5.4449
_cell_length_b 7.7673
_cell_length_c 16.3614
_cell_angle_alpha 90.00
_cell_angle_beta 90.00
_cell_angle_gamma 90.00
loop_
_atom_site_label
_atom_site_fract_x
_atom_site_fract_y
_atom_site_fract_z
_atom_site_occupancy
Ca1 0.0000 0.0000 0.0000 1
Ca2 0.0000 0.0000 0.3327 1
Ca3 0.0000 0.5000 0.3315 1
Pr1 0.0000 0.5000 0.0000 1
In1 0.0000 0.2449 0.1668 1
In2 0.0000 0.2574 0.5000 1
```

***

[7]
Simulated X-ray powder pattern
Compound: Ca2PrIn3
Radiation: copper Kα
Structure: a structure optimized by DFT (GGA-PBE)
Peak positions follow from Bragg's law for the DFT cell and can differ from measured ones.

Principal peaks in the range 2θ from 10° to 80°, sorted by position:
2θ (°), I_rel, h k l
32.7, 100.0, 1 0 3
32.9, 49.4, 1 1 0
46.6, 8.9, 0 0 6
47.2, 17.5, 2 0 0
58.2, 17.9, 1 1 6
58.5, 35.7, 2 1 3
68.4, 10.8, 2 0 6
77.5, 7.4, 1 0 9
78.4, 7.5, 3 0 3
78.5, 7.5, 3 1 0

```
data_Ca2PrIn3
_chemical_formula_sum 'Ca2 Pr1 In3'
_space_group_name_H-M_alt 'P 4/m m m'
_space_group_IT_number 123
_space_group_name_Hall '-P 4 2'
_cell_length_a 3.8546
_cell_length_b 3.8546
_cell_length_c 11.7023
_cell_angle_alpha 90.00
_cell_angle_beta 90.00
_cell_angle_gamma 90.00
loop_
_atom_site_label
_atom_site_fract_x
_atom_site_fract_y
_atom_site_fract_z
_atom_site_occupancy
Ca1 0.0000 0.0000 0.1622 1
Pr1 0.0000 0.0000 0.5000 1
In1 0.5000 0.5000 0.0000 1
In2 0.5000 0.5000 0.3282 1
```

***

[8]
Simulated X-ray powder pattern
Compound: CaPr3In12
Radiation: copper Kα
Structure: a structure optimized by DFT (GGA-PBE)
Peak positions follow from Bragg's law for the DFT cell and can differ from measured ones.

Principal peaks in the range 2θ from 10° to 80°, sorted by position:
2θ (°), I_rel, h k l
19.3, 1.0, 1 0 1
21.0, 0.8, 1 0 2
23.5, 0.9, 0 0 5
30.2, 0.8, 1 1 3
32.7, 100.0, 1 1 4
38.0, 49.8, 2 0 0
54.8, 33.5, 2 2 0
65.3, 26.0, 3 1 4
65.4, 12.8, 1 1 12
68.6, 11.1, 2 2 8

```
data_CaPr3In12
_chemical_formula_sum 'Ca1 Pr3 In12'
_space_group_name_H-M_alt 'P 4/m m m'
_space_group_IT_number 123
_space_group_name_Hall '-P 4 2'
_cell_length_a 4.7403
_cell_length_b 4.7403
_cell_length_c 18.9160
_cell_angle_alpha 90.00
_cell_angle_beta 90.00
_cell_angle_gamma 90.00
loop_
_atom_site_label
_atom_site_fract_x
_atom_site_fract_y
_atom_site_fract_z
_atom_site_occupancy
Ca1 0.0000 0.0000 0.0000 1
Pr1 0.0000 0.0000 0.2497 1
Pr2 0.0000 0.0000 0.5000 1
In1 0.0000 0.5000 0.1228 1
In2 0.0000 0.5000 0.3745 1
In3 0.5000 0.5000 0.0000 1
In4 0.5000 0.5000 0.2499 1
In5 0.5000 0.5000 0.5000 1
```

***

[9]
Simulated X-ray powder pattern
Compound: SrCaInPt
Radiation: copper Kα
Structure: a structure optimized by DFT (GGA-PBE)
Peak positions follow from Bragg's law for the DFT cell and can differ from measured ones.

Principal peaks in the range 2θ from 10° to 80°, sorted by position:
2θ (°), I_rel, h k l
20.4, 8.7, 1 1 1
23.6, 19.6, 2 0 0
33.7, 100.0, 2 2 0
39.7, 5.2, 3 1 1
41.6, 6.2, 2 2 2
48.4, 17.8, 4 0 0
54.5, 8.6, 4 2 0
60.2, 36.7, 4 2 2
70.8, 11.3, 4 4 0
75.8, 4.1, 6 0 0

```
data_SrCaInPt
_chemical_formula_sum 'Sr4 Ca4 In4 Pt4'
_space_group_name_H-M_alt 'F -4 3 m'
_space_group_IT_number 216
_space_group_name_Hall 'F -4 2 3'
_cell_length_a 7.5283
_cell_length_b 7.5283
_cell_length_c 7.5283
_cell_angle_alpha 90.00
_cell_angle_beta 90.00
_cell_angle_gamma 90.00
loop_
_atom_site_label
_atom_site_fract_x
_atom_site_fract_y
_atom_site_fract_z
_atom_site_occupancy
Sr1 0.0000 0.0000 0.0000 1
Ca1 0.0000 0.0000 0.5000 1
In1 0.2500 0.2500 0.2500 1
Pt1 0.2500 0.2500 0.7500 1
```

***

[10]
Simulated X-ray powder pattern
Compound: Ca2PuIn6
Radiation: copper Kα
Structure: a structure optimized by DFT (GGA-PBE)
Peak positions follow from Bragg's law for the DFT cell and can differ from measured ones.

Principal peaks in the range 2θ from 10° to 80°, sorted by position:
2θ (°), I_rel, h k l
11.6, 41.7, 1 0 0
25.1, 10.6, 0 0 1
27.7, 11.8, 1 0 1
32.4, 100.0, 1 1 1
35.2, 92.9, 3 0 0
43.7, 14.0, 3 0 1
48.6, 31.7, 2 2 1
61.4, 33.8, 4 1 1
63.1, 16.3, 3 3 0
64.0, 31.4, 3 0 2

```
data_Ca2PuIn6
_chemical_formula_sum 'Ca2 Pu1 In6'
_space_group_name_H-M_alt 'P 6/m m m'
_space_group_IT_number 191
_space_group_name_Hall '-P 6 2'
_cell_length_a 8.8359
_cell_length_b 8.8359
_cell_length_c 3.5452
_cell_angle_alpha 90.00
_cell_angle_beta 90.00
_cell_angle_gamma 120.00
loop_
_atom_site_label
_atom_site_fract_x
_atom_site_fract_y
_atom_site_fract_z
_atom_site_occupancy
Ca1 0.3333 0.6667 0.0000 1
Pu1 0.0000 0.0000 0.0000 1
In1 0.0000 0.3331 0.5000 1
```

***

[11]
Simulated X-ray powder pattern
Compound: RbCaIn6
Radiation: copper Kα
Structure: a structure optimized by DFT (GGA-PBE)
Peak positions follow from Bragg's law for the DFT cell and can differ from measured ones.

Principal peaks in the range 2θ from 10° to 80°, sorted by position:
2θ (°), I_rel, h k l
13.3, 19.9, 0 0 1
26.7, 11.1, 0 0 2
27.8, 24.7, 0 2 1
32.1, 42.8, 1 0 2
33.0, 100.0, 1 2 1
34.4, 14.2, 1 1 2
35.3, 33.1, 2 0 0
40.7, 11.3, 1 2 2
45.5, 12.5, 2 2 1
61.9, 15.5, 3 2 1

```
data_RbCaIn6
_chemical_formula_sum 'Rb1 Ca1 In6'
_space_group_name_H-M_alt 'P m m 2'
_space_group_IT_number 25
_space_group_name_Hall 'P 2 -2'
_cell_length_a 5.0866
_cell_length_b 7.3107
_cell_length_c 6.6719
_cell_angle_alpha 90.00
_cell_angle_beta 90.00
_cell_angle_gamma 90.00
loop_
_atom_site_label
_atom_site_fract_x
_atom_site_fract_y
_atom_site_fract_z
_atom_site_occupancy
Rb1 0.0000 0.0000 0.0000 1
Ca1 0.5000 0.5000 0.2421 1
In1 0.0000 0.2771 0.4736 1
In2 0.0000 0.5000 0.9078 1
In3 0.5000 0.0000 0.4065 1
In4 0.5000 0.2824 0.7575 1
```

***

[12]
Simulated X-ray powder pattern
Compound: CaTmInRh
Radiation: copper Kα
Structure: a structure optimized by DFT (GGA-PBE)
Peak positions follow from Bragg's law for the DFT cell and can differ from measured ones.

Principal peaks in the range 2θ from 10° to 80°, sorted by position:
2θ (°), I_rel, h k l
21.5, 19.4, 1 1 1
35.4, 100.0, 2 2 0
41.8, 10.9, 3 1 1
51.0, 17.4, 4 0 0
56.0, 4.8, 3 3 1
63.6, 35.2, 4 2 2
68.0, 3.7, 5 1 1
75.0, 10.8, 4 4 0
79.1, 3.7, 5 3 1

```
data_CaTmInRh
_chemical_formula_sum 'Ca4 Tm4 In4 Rh4'
_space_group_name_H-M_alt 'F -4 3 m'
_space_group_IT_number 216
_space_group_name_Hall 'F -4 2 3'
_cell_length_a 7.1624
_cell_length_b 7.1624
_cell_length_c 7.1624
_cell_angle_alpha 90.00
_cell_angle_beta 90.00
_cell_angle_gamma 90.00
loop_
_atom_site_label
_atom_site_fract_x
_atom_site_fract_y
_atom_site_fract_z
_atom_site_occupancy
Ca1 0.0000 0.0000 0.0000 1
Tm1 0.0000 0.0000 0.5000 1
In1 0.2500 0.2500 0.7500 1
Rh1 0.2500 0.2500 0.2500 1
```